Starting from the GGA-PBE geometry in Alexandria, the powder diffraction line list of Rb3H4O4 was simulated for Cu Kα (λ = 1.5418 Å).
Intensities are scaled so that the largest is 100.

Structure:
Lattice parameters (Å, degrees): 3.9265 4.0367 11.6623 92.76 99.66 90.15
Space group P1 (No. 1)
Symmetry-distinct sites (fractional):
Rb: 0.0000 0.0000 0.0000
Rb: 0.1478 0.8288 0.3062
Rb: 0.3290 0.9421 0.6677
H: 0.2794 0.4823 0.8682
H: 0.5516 0.4116 0.1146
H: 0.7451 0.5172 0.4996
H: 0.7489 0.4666 0.8234
O: 0.4884 0.4954 0.9316
O: 0.5895 0.3022 0.1892
O: 0.7377 0.7547 0.4870
O: 0.9139 0.4458 0.7665

Largest 10 diffraction maxima, in order of rising 2θ, 2θ = 15–90°:
(0 1 0), 4.032 Å, 2θ 22.05, rel. 90
(1 0 0), 3.869 Å, 2θ 22.99, rel. 91
(0 0 3), 3.828 Å, 2θ 23.24, rel. 100
(1 0 2), 2.985 Å, 2θ 29.94, rel. 65
(0 1 -3), 2.847 Å, 2θ 31.42, rel. 68
(1 -1 0), 2.804 Å, 2θ 31.92, rel. 46
(-1 1 1), 2.781 Å, 2θ 32.19, rel. 64
(1 1 1), 2.611 Å, 2θ 34.34, rel. 74
(1 0 -4), 2.518 Å, 2θ 35.66, rel. 72
(1 1 -3), 2.436 Å, 2θ 36.89, rel. 76

***

Starting from the GGA-PBE geometry in Alexandria, the powder diffraction line list of RbHO3 was simulated for Cu Kα (λ = 1.5418 Å).
Intensities are scaled so that the largest is 100.

Structure:
Lattice parameters (Å, degrees): 4.2145 4.2145 14.2235 90.00 90.00 120.00
Space group R3m (No. 160, hexagonal axes)
Symmetry-distinct sites (fractional):
Rb: 0.0000 0.0000 0.0000
H: 0.0000 0.0000 0.5088
O: 0.0315 0.5158 0.8551

Largest 10 diffraction maxima, in order of rising 2θ, 2θ = 15–90°:
(0 0 3), 4.741 Å, 2θ 18.72, rel. 17
(1 0 1), 3.535 Å, 2θ 25.19, rel. 100
(0 1 2), 3.247 Å, 2θ 27.47, rel. 94
(1 0 4), 2.547 Å, 2θ 35.24, rel. 63
(0 0 6), 2.371 Å, 2θ 37.96, rel. 27
(0 1 5), 2.244 Å, 2θ 40.19, rel. 39
(1 1 0), 2.107 Å, 2θ 42.92, rel. 19
(1 1 3), 1.926 Å, 2θ 47.20, rel. 51
(0 2 1), 1.810 Å, 2θ 50.42, rel. 30
(1 1 6), 1.575 Å, 2θ 58.61, rel. 17

***

Starting from the GGA-PBE geometry in Alexandria, the powder diffraction line list of Rb2H2S2O was simulated for Cu Kα (λ = 1.5418 Å).
Intensities are scaled so that the largest is 100.

Structure:
Lattice parameters (Å, degrees): 4.4850 7.4009 9.0374 90.00 90.00 90.00
Space group Immm (No. 71)
Symmetry-distinct sites (fractional):
Rb: 0.0000 0.0000 0.2487
H: 0.0000 0.3688 0.5000
S: 0.0000 0.3563 0.0000
O: 0.0000 0.5000 0.5000

Largest 10 diffraction maxima, in order of rising 2θ, 2θ = 15–90°:
(1 1 0), 3.836 Å, 2θ 23.19, rel. 22
(0 2 0), 3.700 Å, 2θ 24.05, rel. 26
(1 1 2), 2.924 Å, 2θ 30.57, rel. 100
(0 2 2), 2.863 Å, 2θ 31.24, rel. 25
(0 0 4), 2.259 Å, 2θ 39.90, rel. 14
(2 0 0), 2.242 Å, 2θ 40.21, rel. 14
(1 3 0), 2.162 Å, 2θ 41.79, rel. 18
(1 3 2), 1.948 Å, 2θ 46.61, rel. 17
(1 3 4), 1.562 Å, 2θ 59.15, rel. 13
(3 1 2), 1.394 Å, 2θ 67.14, rel. 12